# 1
This entry pairs a crystal structure of MgHg with its calculated X-ray powder pattern. Radiation: CuKα. Structure: a structure optimized by DFT (PBE).
Peak positions follow from Bragg's law for the DFT cell and can differ from measured ones.

Crystal structure
```
2
Lattice="3.4996 0.0000 0.0000 0.0000 3.4996 0.0000 0.0000 0.0000 3.4996" Properties=species:S:1:pos:R:3 pbc="T T T"
Mg 0.0000 0.0000 0.0000
Hg 1.7498 1.7498 1.7498
```

Top 7 peaks for 2θ = 10–80°, by intensity:
| two_theta | I_rel | (hkl) |
| --- | --- | --- |
| 36.3 | 100 | 1 1 0 |
| 25.5 | 73 | 1 0 0 |
| 65.3 | 37 | 2 1 1 |
| 59.0 | 30 | 2 1 0 |
| 44.9 | 22 | 1 1 1 |
| 52.3 | 18 | 2 0 0 |
| 77.1 | 12 | 2 2 0 |



# 2
This entry pairs a crystal structure of NaSrMg14 with its calculated X-ray powder pattern. Radiation: CuKα. Structure: a structure optimized by DFT (PBE).
Peak positions follow from Bragg's law for the DFT cell and can differ from measured ones.

Crystal structure
```
16
Lattice="6.6669 0.0000 0.0000 -3.3334 5.7737 0.0000 0.0000 0.0000 10.5166" Properties=species:S:1:pos:R:3 pbc="T T T"
Na 0.0000 0.0000 0.0000
Sr 0.0000 0.0000 5.2583
Mg -1.6551 2.8936 0.0000
Mg -1.6325 2.9066 5.2583
Mg 0.0000 1.9832 2.5727
Mg 0.0000 1.9832 7.9439
Mg -1.6159 4.7821 2.5727
Mg -1.6159 4.7821 7.9439
Mg 1.6325 2.9066 5.2583
Mg 0.0000 5.7341 5.2583
Mg 1.6551 2.8936 0.0000
Mg 0.0000 5.7603 0.0000
Mg 1.6159 4.7821 2.5727
Mg 1.6159 4.7821 7.9439
Mg 3.3335 1.9246 2.6570
Mg 3.3335 1.9246 7.8596
```

Top 10 peaks for 2θ = 10–80°, by intensity:
| two_theta | I_rel | (hkl) |
| --- | --- | --- |
| 35.5 | 100 | 2 0 2 |
| 31.0 | 25 | 2 0 0 |
| 34.1 | 25 | 0 0 4 |
| 66.4 | 19 | 2 2 4 |
| 61.9 | 18 | 2 0 6 |
| 55.1 | 18 | 2 2 0 |
| 46.7 | 16 | 2 0 4 |
| 67.3 | 14 | 4 0 2 |
| 17.5 | 13 | 1 0 1 |
| 22.9 | 8 | 1 0 2 |



# 3
This entry pairs a crystal structure of Ba6Ca6Tl5Cu9O29 with its calculated X-ray powder pattern. Radiation: CuKα. Structure: a structure optimized by DFT (PBE).
Peak positions follow from Bragg's law for the DFT cell and can differ from measured ones.

Crystal structure
```
55
Lattice="3.8804 0.0000 0.0000 0.0000 3.8804 0.0000 0.0000 0.0000 52.8197" Properties=species:S:1:pos:R:3 pbc="T T T"
Ba 0.0000 0.0000 2.6978
Ba 0.0000 0.0000 13.2638
Ba 0.0000 0.0000 39.5559
Ba 0.0000 0.0000 50.1219
Ba 1.9402 1.9402 21.1934
Ba 1.9402 1.9402 31.6263
Ca 0.0000 0.0000 6.4126
Ca 0.0000 0.0000 9.7147
Ca 0.0000 0.0000 43.1050
Ca 0.0000 0.0000 46.4071
Ca 1.9402 1.9402 24.7576
Ca 1.9402 1.9402 28.0620
Tl 0.0000 0.0000 18.3661
Tl 0.0000 0.0000 34.4536
Tl 1.9402 1.9402 0.0000
Tl 1.9402 1.9402 16.0760
Tl 1.9402 1.9402 36.7436
Cu 0.0000 0.0000 23.1383
Cu 0.0000 0.0000 26.4098
Cu 0.0000 0.0000 29.6814
Cu 1.9402 1.9402 4.7988
Cu 1.9402 1.9402 8.1140
Cu 1.9402 1.9402 11.3185
Cu 1.9402 1.9402 41.5012
Cu 1.9402 1.9402 44.7057
Cu 1.9402 1.9402 48.0209
O 0.0000 0.0000 0.0000
O 0.0000 0.0000 16.2815
O 0.0000 0.0000 20.4046
O 0.0000 0.0000 32.4151
O 0.0000 0.0000 36.5382
O 0.0000 1.9402 4.9493
O 0.0000 1.9402 8.1279
O 0.0000 1.9402 11.3071
O 0.0000 1.9402 23.1707
O 0.0000 1.9402 26.4098
O 0.0000 1.9402 29.6490
O 0.0000 1.9402 41.5126
O 0.0000 1.9402 44.6918
O 0.0000 1.9402 47.8704
O 1.9402 0.0000 4.9493
O 1.9402 0.0000 8.1279
O 1.9402 0.0000 11.3071
O 1.9402 0.0000 23.1707
O 1.9402 0.0000 26.4098
O 1.9402 0.0000 29.6490
O 1.9402 0.0000 41.5126
O 1.9402 0.0000 44.6918
O 1.9402 0.0000 47.8704
O 1.9402 1.9402 2.1039
O 1.9402 1.9402 14.0422
O 1.9402 1.9402 18.1609
O 1.9402 1.9402 34.6587
O 1.9402 1.9402 38.7775
O 1.9402 1.9402 50.7158
```

Top 10 peaks for 2θ = 10–80°, by intensity:
| two_theta | I_rel | (hkl) |
| --- | --- | --- |
| 28.5 | 100 | 1 0 10 |
| 32.6 | 88 | 1 1 0 |
| 31.9 | 70 | 1 0 13 |
| 46.8 | 47 | 2 0 0 |
| 55.7 | 36 | 2 1 10 |
| 25.8 | 34 | 1 0 7 |
| 57.8 | 27 | 2 1 13 |
| 47.8 | 27 | 1 1 20 |
| 33.9 | 23 | 0 0 20 |
| 33.0 | 21 | 1 1 3 |



# 4
This entry pairs a crystal structure of HfGePt with its calculated X-ray powder pattern. Radiation: CuKα. Structure: a structure optimized by DFT (PBE).
Peak positions follow from Bragg's law for the DFT cell and can differ from measured ones.

Crystal structure
```
12
Lattice="6.6599 0.0000 0.0000 0.0000 3.9944 0.0000 0.0000 0.0000 7.7263" Properties=species:S:1:pos:R:3 pbc="T T T"
Hf 0.1974 0.9986 1.4178
Hf 3.1326 2.9958 5.2810
Hf 3.5274 0.9986 2.4453
Hf 6.4625 2.9958 6.3085
Ge 1.6624 0.9986 6.7903
Ge 1.6676 2.9958 2.9272
Ge 4.9923 0.9986 4.7991
Ge 4.9976 2.9958 0.9360
Pt 0.9615 0.9986 4.3624
Pt 2.3684 2.9958 0.4992
Pt 4.2915 0.9986 7.2270
Pt 5.6984 2.9958 3.3639
```

Top 10 peaks for 2θ = 10–80°, by intensity:
| two_theta | I_rel | (hkl) |
| --- | --- | --- |
| 35.0 | 100 | 2 1 0 |
| 37.0 | 54 | 2 1 1 |
| 41.7 | 34 | 0 1 3 |
| 45.4 | 31 | 0 2 0 |
| 42.4 | 24 | 3 0 1 |
| 37.4 | 23 | 1 0 3 |
| 68.5 | 20 | 3 1 4 |
| 35.6 | 13 | 2 0 2 |
| 44.5 | 13 | 2 0 3 |
| 65.4 | 13 | 2 2 3 |